Record 1
The following is a calculated X-ray diffraction stick pattern of MnNi3Pt4. It was derived from a cell relaxed with PBE, using Cu Kα (weighted mean of Kα1 and Kα2).

```
data_MnNi3Pt4
_chemical_formula_sum 'Mn2 Ni6 Pt8'
_cell_length_a 8.762
_cell_length_b 5.480
_cell_length_c 4.587
_cell_angle_alpha 90.00
_cell_angle_beta 90.00
_cell_angle_gamma 90.00
_symmetry_space_group_name_H-M 'P m m a'
_symmetry_Int_Tables_number 51
loop_
_symmetry_equiv_pos_as_xyz
'x,y,z'
'-x,-y,-z'
'-x+1/2,-y,z'
'x+1/2,y,-z'
'x+1/2,-y,-z'
'-x+1/2,y,z'
'-x,y,-z'
'x,-y,z'
loop_
_atom_site_label
_atom_site_type_symbol
_atom_site_fract_x
_atom_site_fract_y
_atom_site_fract_z
Mn1 Mn 0.000 0.000 0.000
Ni1 Ni 0.000 0.500 0.000
Ni2 Ni 0.250 0.000 0.357
Ni3 Ni 0.250 0.500 0.347
Pt1 Pt 0.000 0.251 0.500
Pt2 Pt 0.250 0.254 0.859
```

Main lines, in order of falling intensity (2θ from 10° to 80°):
two_theta, d [Å], I (rel.), h k l
43.67, 2.073, 100, 2 2 1
41.21, 2.190, 45, 4 0 0
28.17, 3.168, 42, 2 0 1
39.67, 2.272, 31, 1 2 1
44.59, 2.032, 27, 2 0 2
40.66, 2.219, 23, 1 0 2
32.68, 2.740, 21, 0 2 0
76.82, 1.241, 21, 6 2 1
70.53, 1.335, 16, 0 2 3
49.77, 1.832, 16, 3 2 1

***

Record 2
The following is a calculated X-ray diffraction stick pattern of NaTc2O6. It was derived from a cell relaxed with PBE, using Cu Kα (weighted mean of Kα1 and Kα2).

```
data_NaTc2O6
_chemical_formula_sum 'Na1 Tc2 O6'
_cell_length_a 5.3055
_cell_length_b 5.3055
_cell_length_c 5.0365
_cell_angle_alpha 90.00
_cell_angle_beta 90.00
_cell_angle_gamma 120.00
_symmetry_space_group_name_H-M 'P -3 1 m'
_symmetry_Int_Tables_number 162
_symmetry_space_group_name_Hall '-P 3 2'
loop_
_atom_site_label
_atom_site_type_symbol
_atom_site_fract_x
_atom_site_fract_y
_atom_site_fract_z
Na1 Na 0.0000 0.0000 0.0000
Tc1 Tc 0.3333 0.6667 0.5000
O1 O 0.0000 0.3865 0.7049
```

Main lines, in order of falling intensity (2θ from 10° to 80°):
two_theta, d [Å], I (rel.), h k l
17.61, 5.037, 100, 0 0 1
26.25, 3.394, 89, 1 0 1
38.35, 2.347, 61, 2 -1 1
49.93, 1.826, 60, 2 -1 2
19.32, 4.595, 50, 1 0 0
33.79, 2.653, 43, 1 1 0
56.01, 1.642, 20, 3 -1 1
60.44, 1.532, 19, 3 0 0
43.29, 2.090, 17, 2 0 1
65.84, 1.419, 16, 1 1 3

***

Record 3
The following is a calculated X-ray diffraction stick pattern of TbScBiO2. It was derived from a cell relaxed with PBE, using Cu Kα (weighted mean of Kα1 and Kα2).

```
data_TbScBiO2
_chemical_formula_sum 'Tb2 Sc2 Bi2 O4'
_cell_length_a 3.795
_cell_length_b 3.795
_cell_length_c 13.277
_cell_angle_alpha 90.00
_cell_angle_beta 90.00
_cell_angle_gamma 90.00
_symmetry_space_group_name_H-M 'I 4 m m'
_symmetry_Int_Tables_number 107
_symmetry_space_group_name_Hall 'I 4 -2'
loop_
_atom_site_label
_atom_site_type_symbol
_atom_site_fract_x
_atom_site_fract_y
_atom_site_fract_z
Tb1 Tb 0.000 0.000 0.000
Sc1 Sc 0.000 0.000 0.658
Bi1 Bi 0.000 0.000 0.327
O1 O 0.000 0.500 0.090
```

Main lines, in order of falling intensity (2θ from 10° to 80°):
two_theta, d [Å], I (rel.), h k l
31.04, 2.881, 100, 1 0 3
33.39, 2.684, 35, 1 1 0
58.22, 1.585, 34, 2 1 3
53.69, 1.707, 24, 1 1 6
24.39, 3.649, 24, 1 0 1
47.94, 1.898, 17, 2 0 0
64.71, 1.440, 11, 2 0 6
13.34, 6.638, 10, 0 0 2
36.10, 2.488, 10, 1 1 2
68.21, 1.375, 10, 1 0 9

***

Record 4
The following is a calculated X-ray diffraction stick pattern of LiAg2Mo. It was derived from a cell relaxed with PBE, using Cu Kα (weighted mean of Kα1 and Kα2).

```
data_LiAg2Mo
_chemical_formula_sum 'Li1 Ag2 Mo1'
_cell_length_a 2.750
_cell_length_b 2.750
_cell_length_c 8.505
_cell_angle_alpha 90.00
_cell_angle_beta 90.00
_cell_angle_gamma 90.00
_symmetry_space_group_name_H-M 'P 4/m m m'
_symmetry_Int_Tables_number 123
_symmetry_space_group_name_Hall '-P 4 2'
loop_
_atom_site_label
_atom_site_type_symbol
_atom_site_fract_x
_atom_site_fract_y
_atom_site_fract_z
Li1 Li 0.000 0.000 0.000
Ag1 Ag 0.500 0.500 0.238
Mo1 Mo 0.000 0.000 0.500
```

Main lines, in order of falling intensity (2θ from 10° to 80°):
two_theta, d [Å], I (rel.), h k l
39.01, 2.309, 100, 1 0 2
10.40, 8.505, 33, 0 0 1
46.72, 1.944, 30, 1 1 0
65.00, 1.435, 20, 1 1 4
42.52, 2.126, 19, 0 0 4
20.89, 4.252, 17, 0 0 2
34.27, 2.616, 16, 1 0 1
75.45, 1.260, 12, 1 0 6
32.56, 2.750, 12, 1 0 0
68.21, 1.375, 9, 2 0 0

***

Record 5
The following is a calculated X-ray diffraction stick pattern of SrAlSiPt2. It was derived from a cell relaxed with PBE, using Cu Kα (weighted mean of Kα1 and Kα2).

```
data_SrAlSiPt2
_chemical_formula_sum 'Sr2 Al2 Si2 Pt4'
_cell_length_a 4.275
_cell_length_b 4.275
_cell_length_c 10.777
_cell_angle_alpha 90.00
_cell_angle_beta 90.00
_cell_angle_gamma 90.00
_symmetry_space_group_name_H-M 'I -4 m 2'
_symmetry_Int_Tables_number 119
_symmetry_space_group_name_Hall 'I -4 -2'
loop_
_atom_site_label
_atom_site_type_symbol
_atom_site_fract_x
_atom_site_fract_y
_atom_site_fract_z
Sr1 Sr 0.000 0.000 0.000
Al1 Al 0.000 0.500 0.250
Si1 Si 0.000 0.500 0.750
Pt1 Pt 0.000 0.000 0.368
```

Main lines, in order of falling intensity (2θ from 10° to 80°):
two_theta, d [Å], I (rel.), h k l
32.56, 2.750, 100, 1 0 3
29.55, 3.023, 71, 1 1 0
54.36, 1.688, 47, 2 1 3
22.37, 3.974, 47, 1 0 1
42.28, 2.138, 44, 2 0 0
45.07, 2.011, 31, 1 1 4
47.23, 1.925, 19, 1 0 5
65.23, 1.430, 15, 2 1 5
61.33, 1.512, 15, 2 2 0
69.53, 1.352, 13, 3 1 0

***

Copy entry 2 word for word.
The following is a calculated X-ray diffraction stick pattern of NaTc2O6. It was derived from a cell relaxed with PBE, using Cu Kα (weighted mean of Kα1 and Kα2).

```
data_NaTc2O6
_chemical_formula_sum 'Na1 Tc2 O6'
_cell_length_a 5.3055
_cell_length_b 5.3055
_cell_length_c 5.0365
_cell_angle_alpha 90.00
_cell_angle_beta 90.00
_cell_angle_gamma 120.00
_symmetry_space_group_name_H-M 'P -3 1 m'
_symmetry_Int_Tables_number 162
_symmetry_space_group_name_Hall '-P 3 2'
loop_
_atom_site_label
_atom_site_type_symbol
_atom_site_fract_x
_atom_site_fract_y
_atom_site_fract_z
Na1 Na 0.0000 0.0000 0.0000
Tc1 Tc 0.3333 0.6667 0.5000
O1 O 0.0000 0.3865 0.7049
```

Main lines, in order of falling intensity (2θ from 10° to 80°):
two_theta, d [Å], I (rel.), h k l
17.61, 5.037, 100, 0 0 1
26.25, 3.394, 89, 1 0 1
38.35, 2.347, 61, 2 -1 1
49.93, 1.826, 60, 2 -1 2
19.32, 4.595, 50, 1 0 0
33.79, 2.653, 43, 1 1 0
56.01, 1.642, 20, 3 -1 1
60.44, 1.532, 19, 3 0 0
43.29, 2.090, 17, 2 0 1
65.84, 1.419, 16, 1 1 3

***

Copy entry 5 word for word.
The following is a calculated X-ray diffraction stick pattern of SrAlSiPt2. It was derived from a cell relaxed with PBE, using Cu Kα (weighted mean of Kα1 and Kα2).

```
data_SrAlSiPt2
_chemical_formula_sum 'Sr2 Al2 Si2 Pt4'
_cell_length_a 4.275
_cell_length_b 4.275
_cell_length_c 10.777
_cell_angle_alpha 90.00
_cell_angle_beta 90.00
_cell_angle_gamma 90.00
_symmetry_space_group_name_H-M 'I -4 m 2'
_symmetry_Int_Tables_number 119
_symmetry_space_group_name_Hall 'I -4 -2'
loop_
_atom_site_label
_atom_site_type_symbol
_atom_site_fract_x
_atom_site_fract_y
_atom_site_fract_z
Sr1 Sr 0.000 0.000 0.000
Al1 Al 0.000 0.500 0.250
Si1 Si 0.000 0.500 0.750
Pt1 Pt 0.000 0.000 0.368
```

Main lines, in order of falling intensity (2θ from 10° to 80°):
two_theta, d [Å], I (rel.), h k l
32.56, 2.750, 100, 1 0 3
29.55, 3.023, 71, 1 1 0
54.36, 1.688, 47, 2 1 3
22.37, 3.974, 47, 1 0 1
42.28, 2.138, 44, 2 0 0
45.07, 2.011, 31, 1 1 4
47.23, 1.925, 19, 1 0 5
65.23, 1.430, 15, 2 1 5
61.33, 1.512, 15, 2 2 0
69.53, 1.352, 13, 3 1 0